Entry 1:
Theoretical powder diffractogram of YZrPSe for Cu Kα, from the GGA-PBE geometry in Alexandria.

The 8 most intense peaks (10 to 80 degrees two-theta), by angle:
| 2θ (°) | Rel. int. |
| --- | --- |
| 27.22 | 31 |
| 28.28 | 18 |
| 32.18 | 39 |
| 34.84 | 100 |
| 41.22 | 24 |
| 47.45 | 48 |
| 52.66 | 17 |
| 60.20 | 20 |

Crystal structure
```
data_YZrPSe
_cell_length_a 7.152
_cell_length_b 7.152
_cell_length_c 7.152
_cell_angle_alpha 31.08
_cell_angle_beta 31.08
_cell_angle_gamma 31.08
_space_group_name_H-M_alt 'P 1'
_space_group_IT_number 1
loop_
_space_group_symop_operation_xyz
'x,y,z'
loop_
_atom_site_label
_atom_site_type_symbol
_atom_site_fract_x
_atom_site_fract_y
_atom_site_fract_z
_atom_site_occupancy
Y1 Y 0.000 0.000 0.000 1
Zr1 Zr 0.812 0.812 0.812 1
P1 P 0.412 0.412 0.412 1
Se1 Se 0.234 0.234 0.234 1
```

Entry 2:
Theoretical powder diffractogram of ZnPSe for Cu Kα, from the GGA-PBE geometry in Alexandria.

The 8 most intense peaks (10 to 80 degrees two-theta), by angle:
| 2θ (°) | Rel. int. |
| --- | --- |
| 26.60 | 100 |
| 33.16 | 49 |
| 35.64 | 56 |
| 36.04 | 94 |
| 49.78 | 60 |
| 51.89 | 32 |
| 59.25 | 20 |
| 62.98 | 29 |

Crystal structure
```
data_ZnPSe
_cell_length_a 5.950
_cell_length_b 5.950
_cell_length_c 5.950
_cell_angle_alpha 145.55
_cell_angle_beta 145.55
_cell_angle_gamma 49.52
_space_group_name_H-M_alt 'P 1'
_space_group_IT_number 1
loop_
_space_group_symop_operation_xyz
'x,y,z'
loop_
_atom_site_label
_atom_site_type_symbol
_atom_site_fract_x
_atom_site_fract_y
_atom_site_fract_z
_atom_site_occupancy
Zn1 Zn 0.000 0.000 0.000 1
P1 P 0.476 0.476 0.000 1
Se1 Se 0.274 0.274 0.000 1
```

Entry 3:
Theoretical powder diffractogram of ZrPSe4 for Cu Kα, from the GGA-PBE geometry in Alexandria.

The 8 most intense peaks (10 to 80 degrees two-theta), by angle:
| 2θ (°) | Rel. int. |
| --- | --- |
| 13.64 | 30 |
| 15.76 | 62 |
| 25.04 | 100 |
| 31.84 | 19 |
| 34.75 | 16 |
| 39.25 | 34 |
| 42.51 | 29 |
| 42.58 | 23 |

Crystal structure
```
data_ZrPSe4
_cell_length_a 6.480
_cell_length_b 6.505
_cell_length_c 11.248
_cell_angle_alpha 90.00
_cell_angle_beta 90.00
_cell_angle_gamma 90.00
_space_group_name_H-M_alt 'P 1'
_space_group_IT_number 1
loop_
_space_group_symop_operation_xyz
'x,y,z'
loop_
_atom_site_label
_atom_site_type_symbol
_atom_site_fract_x
_atom_site_fract_y
_atom_site_fract_z
_atom_site_occupancy
Zr1 Zr 0.000 0.000 0.000 1
Zr2 Zr 0.000 0.500 0.500 1
P1 P 0.000 0.000 0.500 1
P2 P 0.500 0.000 0.000 1
Se1 Se 0.199 0.223 0.386 1
Se2 Se 0.199 0.777 0.614 1
Se3 Se 0.279 0.200 0.887 1
Se4 Se 0.279 0.800 0.113 1
Se5 Se 0.721 0.200 0.113 1
Se6 Se 0.721 0.800 0.887 1
Se7 Se 0.801 0.223 0.614 1
Se8 Se 0.801 0.777 0.386 1
```

Entry 4:
Theoretical powder diffractogram of SiP for Cu Kα, from the GGA-PBE geometry in Alexandria.

The 8 most intense peaks (10 to 80 degrees two-theta), by angle:
| 2θ (°) | Rel. int. |
| --- | --- |
| 11.45 | 100 |
| 19.27 | 16 |
| 23.01 | 24 |
| 28.51 | 21 |
| 28.99 | 21 |
| 30.72 | 34 |
| 33.41 | 16 |
| 53.32 | 14 |

Crystal structure
```
data_SiP
_cell_length_a 10.423
_cell_length_b 10.423
_cell_length_c 15.463
_cell_angle_alpha 90.00
_cell_angle_beta 90.00
_cell_angle_gamma 160.47
_space_group_name_H-M_alt 'P 1'
_space_group_IT_number 1
loop_
_space_group_symop_operation_xyz
'x,y,z'
loop_
_atom_site_label
_atom_site_type_symbol
_atom_site_fract_x
_atom_site_fract_y
_atom_site_fract_z
_atom_site_occupancy
Si1 Si 0.060 0.940 0.500 1
Si2 Si 0.171 0.829 0.538 1
Si3 Si 0.202 0.798 0.102 1
Si4 Si 0.205 0.795 0.950 1
Si5 Si 0.433 0.567 0.436 1
Si6 Si 0.435 0.565 0.588 1
Si7 Si 0.565 0.435 0.088 1
Si8 Si 0.567 0.433 0.936 1
Si9 Si 0.795 0.205 0.450 1
Si10 Si 0.798 0.202 0.602 1
Si11 Si 0.829 0.171 0.038 1
Si12 Si 0.940 0.060 0.000 1
P1 P 0.000 0.000 0.126 1
P2 P 0.000 0.000 0.626 1
P3 P 0.114 0.886 0.866 1
P4 P 0.231 0.769 0.412 1
P5 P 0.311 0.689 0.129 1
P6 P 0.345 0.655 0.672 1
P7 P 0.459 0.541 0.909 1
P8 P 0.541 0.459 0.409 1
P9 P 0.655 0.345 0.172 1
P10 P 0.689 0.311 0.629 1
P11 P 0.769 0.231 0.912 1
P12 P 0.886 0.114 0.366 1
```

Entry 5:
Theoretical powder diffractogram of Si23P for Cu Kα, from the GGA-PBE geometry in Alexandria.

The 8 most intense peaks (10 to 80 degrees two-theta), by angle:
| 2θ (°) | Rel. int. |
| --- | --- |
| 12.27 | 36 |
| 19.46 | 79 |
| 21.34 | 25 |
| 32.85 | 100 |
| 36.31 | 27 |
| 40.52 | 24 |
| 52.29 | 53 |
| 55.53 | 46 |

Crystal structure
```
data_Si23P
_cell_length_a 10.201
_cell_length_b 10.201
_cell_length_c 10.201
_cell_angle_alpha 90.00
_cell_angle_beta 90.00
_cell_angle_gamma 90.00
_space_group_name_H-M_alt 'P 1'
_space_group_IT_number 1
loop_
_space_group_symop_operation_xyz
'x,y,z'
loop_
_atom_site_label
_atom_site_type_symbol
_atom_site_fract_x
_atom_site_fract_y
_atom_site_fract_z
_atom_site_occupancy
Si1 Si 0.000 0.117 0.309 1
Si2 Si 0.000 0.117 0.691 1
Si3 Si 0.000 0.250 0.500 1
Si4 Si 0.000 0.750 0.500 1
Si5 Si 0.000 0.883 0.309 1
Si6 Si 0.000 0.883 0.691 1
Si7 Si 0.117 0.309 0.000 1
Si8 Si 0.117 0.691 0.000 1
Si9 Si 0.182 0.182 0.182 1
Si10 Si 0.182 0.182 0.818 1
Si11 Si 0.182 0.818 0.182 1
Si12 Si 0.182 0.818 0.818 1
Si13 Si 0.191 0.383 0.500 1
Si14 Si 0.191 0.617 0.500 1
Si15 Si 0.250 0.500 0.000 1
Si16 Si 0.309 0.000 0.117 1
Si17 Si 0.309 0.000 0.883 1
Si18 Si 0.318 0.318 0.318 1
Si19 Si 0.318 0.318 0.682 1
Si20 Si 0.318 0.682 0.318 1
Si21 Si 0.318 0.682 0.682 1
Si22 Si 0.383 0.500 0.191 1
Si23 Si 0.383 0.500 0.809 1
Si24 Si 0.500 0.000 0.250 1
Si25 Si 0.500 0.000 0.750 1
Si26 Si 0.500 0.191 0.383 1
Si27 Si 0.500 0.191 0.617 1
Si28 Si 0.500 0.809 0.383 1
Si29 Si 0.500 0.809 0.617 1
Si30 Si 0.617 0.500 0.191 1
Si31 Si 0.617 0.500 0.809 1
Si32 Si 0.682 0.318 0.318 1
Si33 Si 0.682 0.318 0.682 1
Si34 Si 0.682 0.682 0.318 1
Si35 Si 0.682 0.682 0.682 1
Si36 Si 0.691 0.000 0.117 1
Si37 Si 0.691 0.000 0.883 1
Si38 Si 0.750 0.500 0.000 1
Si39 Si 0.809 0.383 0.500 1
Si40 Si 0.809 0.617 0.500 1
Si41 Si 0.818 0.182 0.182 1
Si42 Si 0.818 0.182 0.818 1
Si43 Si 0.818 0.818 0.182 1
Si44 Si 0.818 0.818 0.818 1
Si45 Si 0.883 0.309 0.000 1
Si46 Si 0.883 0.691 0.000 1
P1 P 0.000 0.000 0.000 1
P2 P 0.500 0.500 0.500 1
```

Entry 6:
Theoretical powder diffractogram of Si23P4 for Cu Kα, from the GGA-PBE geometry in Alexandria.

The 8 most intense peaks (10 to 80 degrees two-theta), by angle:
| 2θ (°) | Rel. int. |
| --- | --- |
| 30.57 | 31 |
| 31.85 | 34 |
| 33.09 | 100 |
| 36.57 | 19 |
| 52.68 | 47 |
| 53.51 | 16 |
| 54.33 | 21 |
| 55.95 | 41 |

Crystal structure
```
data_Si23P4
_cell_length_a 10.131
_cell_length_b 10.131
_cell_length_c 10.131
_cell_angle_alpha 90.00
_cell_angle_beta 90.00
_cell_angle_gamma 90.00
_space_group_name_H-M_alt 'P 1'
_space_group_IT_number 1
loop_
_space_group_symop_operation_xyz
'x,y,z'
loop_
_atom_site_label
_atom_site_type_symbol
_atom_site_fract_x
_atom_site_fract_y
_atom_site_fract_z
_atom_site_occupancy
Si1 Si 0.000 0.116 0.311 1
Si2 Si 0.000 0.116 0.689 1
Si3 Si 0.000 0.250 0.500 1
Si4 Si 0.000 0.750 0.500 1
Si5 Si 0.000 0.884 0.311 1
Si6 Si 0.000 0.884 0.689 1
Si7 Si 0.116 0.311 0.000 1
Si8 Si 0.116 0.689 0.000 1
Si9 Si 0.182 0.182 0.182 1
Si10 Si 0.182 0.182 0.818 1
Si11 Si 0.182 0.818 0.182 1
Si12 Si 0.182 0.818 0.818 1
Si13 Si 0.189 0.384 0.500 1
Si14 Si 0.189 0.616 0.500 1
Si15 Si 0.250 0.500 0.000 1
Si16 Si 0.311 0.000 0.116 1
Si17 Si 0.311 0.000 0.884 1
Si18 Si 0.318 0.318 0.318 1
Si19 Si 0.318 0.318 0.682 1
Si20 Si 0.318 0.682 0.318 1
Si21 Si 0.318 0.682 0.682 1
Si22 Si 0.384 0.500 0.189 1
Si23 Si 0.384 0.500 0.811 1
Si24 Si 0.500 0.000 0.250 1
Si25 Si 0.500 0.000 0.750 1
Si26 Si 0.500 0.189 0.384 1
Si27 Si 0.500 0.189 0.616 1
Si28 Si 0.500 0.811 0.384 1
Si29 Si 0.500 0.811 0.616 1
Si30 Si 0.616 0.500 0.189 1
Si31 Si 0.616 0.500 0.811 1
Si32 Si 0.682 0.318 0.318 1
Si33 Si 0.682 0.318 0.682 1
Si34 Si 0.682 0.682 0.318 1
Si35 Si 0.682 0.682 0.682 1
Si36 Si 0.689 0.000 0.116 1
Si37 Si 0.689 0.000 0.884 1
Si38 Si 0.750 0.500 0.000 1
Si39 Si 0.811 0.384 0.500 1
Si40 Si 0.811 0.616 0.500 1
Si41 Si 0.818 0.182 0.182 1
Si42 Si 0.818 0.182 0.818 1
Si43 Si 0.818 0.818 0.182 1
Si44 Si 0.818 0.818 0.818 1
Si45 Si 0.884 0.311 0.000 1
Si46 Si 0.884 0.689 0.000 1
P1 P 0.000 0.000 0.000 1
P2 P 0.000 0.500 0.250 1
P3 P 0.000 0.500 0.750 1
P4 P 0.250 0.000 0.500 1
P5 P 0.500 0.250 0.000 1
P6 P 0.500 0.500 0.500 1
P7 P 0.500 0.750 0.000 1
P8 P 0.750 0.000 0.500 1
```